Ca2ZnCd2Au4: calculated powder XRD pattern (Cu Kα X-rays), based on a structure optimized by DFT (GGA-PBE).

Peak list (10 most intense, 2θ = 15–90°, by angle)
| 2θ (°) | I (rel.) |
| --- | --- |
| 18.13 | 11.3 |
| 20.90 | 30.1 |
| 25.74 | 15.7 |
| 33.39 | 100.0 |
| 36.73 | 55.9 |
| 42.60 | 32.7 |
| 50.39 | 12.7 |
| 52.92 | 19.0 |
| 57.45 | 28.8 |
| 64.03 | 28.9 |

```
Ca2ZnCd2Au4
1.0
-3.4604 3.4604 4.2505
3.4604 -3.4604 4.2505
3.4604 3.4604 -4.2505
Ca Zn Cd Au
2 1 2 4
direct
0.2500 0.7500 0.5000
0.7500 0.2500 0.5000
0.0000 0.0000 0.0000
0.3082 0.3082 0.0000
0.6918 0.6918 0.0000
0.2601 0.2601 0.5202
0.2601 0.7399 0.0000
0.7399 0.2601 0.0000
0.7399 0.7399 0.4798
```

Ca3CeAu4: calculated powder XRD pattern (Cu Kα X-rays), based on a structure optimized by DFT (GGA-PBE).

Peak list (10 most intense, 2θ = 15–90°, by angle)
| 2θ (°) | I (rel.) |
| --- | --- |
| 17.18 | 4.6 |
| 24.39 | 29.2 |
| 34.76 | 100.0 |
| 42.92 | 9.5 |
| 49.98 | 17.9 |
| 56.37 | 13.2 |
| 62.31 | 36.8 |
| 73.37 | 11.4 |
| 78.64 | 6.7 |
| 83.81 | 16.5 |

```
Ca3CeAu4
1.0
-3.6500 3.6500 3.6500
3.6500 -3.6500 3.6500
3.6500 3.6500 -3.6500
Ca Ce Au
3 1 4
direct
0.0000 0.5000 0.5000
0.5000 0.0000 0.5000
0.5000 0.5000 0.0000
0.0000 0.0000 0.0000
0.0000 0.0000 0.5000
0.0000 0.5000 0.0000
0.5000 0.0000 0.0000
0.5000 0.5000 0.5000
```

CsCaTeHAu: calculated powder XRD pattern (Cu Kα X-rays), based on a structure optimized by DFT (GGA-PBE).

Peak list (10 most intense, 2θ = 15–90°, by angle)
| 2θ (°) | I (rel.) |
| --- | --- |
| 24.08 | 31.3 |
| 24.94 | 28.2 |
| 30.26 | 55.9 |
| 30.96 | 51.9 |
| 31.52 | 100.0 |
| 44.16 | 15.0 |
| 45.18 | 35.6 |
| 54.91 | 20.3 |
| 56.19 | 19.1 |
| 74.80 | 16.7 |

```
CsCaTeHAu
1.0
3.9331 0.0000 0.0000
0.0000 4.1016 0.0000
0.0000 0.0000 8.5130
Cs Ca Te H Au
1 1 1 1 1
direct
0.0000 0.0000 0.0000
0.0000 0.0000 0.5180
0.5000 0.5000 0.6872
0.0000 0.5000 0.3018
0.5000 0.5000 0.3150
```

CsCaTeHAu: calculated powder XRD pattern (Cu Kα X-rays), based on a structure optimized by DFT (GGA-PBE).

Peak list (10 most intense, 2θ = 15–90°, by angle)
| 2θ (°) | I (rel.) |
| --- | --- |
| 20.77 | 59.6 |
| 23.50 | 100.0 |
| 30.33 | 52.8 |
| 33.04 | 17.1 |
| 36.39 | 58.1 |
| 39.35 | 37.7 |
| 43.77 | 19.3 |
| 49.96 | 32.5 |
| 58.19 | 16.7 |
| 67.46 | 15.3 |

```
CsCaTeHAu
1.0
4.9382 0.0000 0.0000
-2.4691 4.2766 0.0000
0.0000 0.0000 8.1323
Cs Ca Te H Au
1 1 1 1 1
direct
0.0000 0.0000 0.0000
0.6667 0.3333 0.4902
0.3333 0.6667 0.6674
0.3333 0.6667 0.1361
0.3333 0.6667 0.3361
```